No. 1
For Pm7Ir4Pt, a crystal structure in Alexandria, relaxed with GGA-PBE gives the theoretical X-ray diffraction stick pattern in this record (Cu Kα X-rays).
Lines closer than 0.1° are merged.

Crystal structure
```
data_Pm7Ir4Pt
_cell_length_a 13.5830
_cell_length_b 4.0259
_cell_length_c 12.1794
_cell_angle_alpha 90.00
_cell_angle_beta 104.93
_cell_angle_gamma 90.00
_space_group_name_H-M_alt 'C 1 m 1'
_space_group_IT_number 8
_space_group_name_Hall 'C -2y'
loop_
_atom_site_label
_atom_site_type_symbol
_atom_site_fract_x
_atom_site_fract_y
_atom_site_fract_z
Pm1 Pm 0.0000 0.0000 0.0000
Pm2 Pm 0.0125 0.5000 0.2871
Pm3 Pm 0.1048 0.5000 0.5995
Pm4 Pm 0.2177 0.0000 0.8596
Pm5 Pm 0.2629 0.5000 0.1422
Pm6 Pm 0.3041 0.0000 0.4324
Pm7 Pm 0.4162 0.5000 0.6908
Ir1 Ir 0.0586 0.5000 0.8356
Ir2 Ir 0.2605 0.0000 0.6450
Ir3 Ir 0.3761 0.0000 0.0672
Ir4 Ir 0.4608 0.5000 0.4539
Pt1 Pt 0.1429 0.0000 0.2235
```

Largest 12 diffraction maxima, low angle first, 10 to 90 degrees two-theta:
2θ (°)  I_rel  (hkl)
22.75  53  2 0 2
29.38  50  2 0 3
29.79  76  3 1 -1
29.91  41  2 0 -4
30.17  40  3 1 0
31.35  100  3 1 -2
32.43  81  3 1 1
34.61  49  3 1 -3
37.04  45  1 1 -4
43.49  55  5 1 1
44.81  50  6 0 -4
45.04  63  0 2 0

=====

No. 2
For Pm6IrPt, a crystal structure in Alexandria, relaxed with GGA-PBE gives the theoretical X-ray diffraction stick pattern in this record (Cu Kα X-rays).
Lines closer than 0.1° are merged.

Crystal structure
```
data_Pm6IrPt
_cell_length_a 6.8329
_cell_length_b 6.8329
_cell_length_c 19.8617
_cell_angle_alpha 90.00
_cell_angle_beta 90.00
_cell_angle_gamma 120.00
_space_group_name_H-M_alt 'R -3'
_space_group_IT_number 148
_space_group_name_Hall '-R 3'
loop_
_atom_site_label
_atom_site_type_symbol
_atom_site_fract_x
_atom_site_fract_y
_atom_site_fract_z
Pm1 Pm 0.0042 0.3281 0.2490
Ir1 Ir 0.0000 0.0000 0.5000
Pt1 Pt 0.0000 0.0000 0.0000
```

Largest 12 diffraction maxima, low angle first, 10 to 90 degrees two-theta:
2θ (°)  I_rel  (hkl)
17.45  38  0 1 2
23.39  25  1 0 4
29.42  100  1 1 3
31.55  13  2 0 2
37.84  59  2 -1 6
41.38  11  3 -2 2
46.01  40  3 0 0
49.15  24  1 1 9
55.55  24  0 0 12
61.04  15  2 2 6
74.91  32  3 0 12
79.71  14  5 -4 6

=====

No. 3
For Pm3IrPt2, a crystal structure in Alexandria, relaxed with GGA-PBE gives the theoretical X-ray diffraction stick pattern in this record (Cu Kα X-rays).
Lines closer than 0.1° are merged.

Crystal structure
```
data_Pm3IrPt2
_cell_length_a 3.5431
_cell_length_b 3.5431
_cell_length_c 10.8227
_cell_angle_alpha 90.00
_cell_angle_beta 90.00
_cell_angle_gamma 90.00
_space_group_name_H-M_alt 'P 4/m m m'
_space_group_IT_number 123
_space_group_name_Hall '-P 4 2'
loop_
_atom_site_label
_atom_site_type_symbol
_atom_site_fract_x
_atom_site_fract_y
_atom_site_fract_z
Pm1 Pm 0.0000 0.0000 0.0000
Pm2 Pm 0.0000 0.0000 0.3405
Ir1 Ir 0.5000 0.5000 0.5000
Pt1 Pt 0.5000 0.5000 0.1667
```

Largest 12 diffraction maxima, low angle first, 10 to 90 degrees two-theta:
2θ (°)  I_rel  (hkl)
25.13  2  1 0 0
35.51  100  1 0 3
35.84  49  1 1 0
50.60  9  0 0 6
51.59  18  2 0 0
63.56  18  1 1 6
64.20  36  2 1 3
75.17  11  2 0 6
75.96  6  2 2 0
85.22  8  1 0 9
86.76  8  3 0 3
86.95  8  3 1 0

=====

No. 4
For Pm6IrPt2, a crystal structure in Alexandria, relaxed with GGA-PBE gives the theoretical X-ray diffraction stick pattern in this record (Cu Kα X-rays).
Lines closer than 0.1° are merged.

Crystal structure
```
data_Pm6IrPt2
_cell_length_a 6.8083
_cell_length_b 7.4317
_cell_length_c 12.0612
_cell_angle_alpha 90.00
_cell_angle_beta 120.22
_cell_angle_gamma 90.00
_space_group_name_H-M_alt 'P 1 21/c 1'
_space_group_IT_number 14
_space_group_name_Hall '-P 2ybc'
loop_
_atom_site_label
_atom_site_type_symbol
_atom_site_fract_x
_atom_site_fract_y
_atom_site_fract_z
Pm1 Pm 0.0905 0.0470 0.2521
Pm2 Pm 0.2538 0.6765 0.0779
Pm3 Pm 0.3992 0.1834 0.0688
Ir1 Ir 0.0000 0.0000 0.0000
Pt1 Pt 0.3253 0.1144 0.7701
```

Largest 12 diffraction maxima, low angle first, 10 to 90 degrees two-theta:
2θ (°)  I_rel  (hkl)
14.64  24  0 1 1
28.41  33  1 2 0
28.92  15  2 1 -2
29.66  100  1 0 -4
30.53  18  1 1 2
31.88  29  1 2 1
32.10  27  1 1 -4
35.37  25  0 2 3
38.69  27  1 3 -1
44.19  16  3 1 -1
46.48  24  3 1 -5
51.25  27  2 1 3

=====

No. 5
For Tb2PmIr2Pt, a crystal structure in Alexandria, relaxed with GGA-PBE gives the theoretical X-ray diffraction stick pattern in this record (Cu Kα X-rays).
Lines closer than 0.1° are merged.

Crystal structure
```
data_Tb2PmIr2Pt
_cell_length_a 5.5268
_cell_length_b 5.5268
_cell_length_c 10.4918
_cell_angle_alpha 90.00
_cell_angle_beta 90.00
_cell_angle_gamma 90.00
_space_group_name_H-M_alt 'I 4/m m m'
_space_group_IT_number 139
_space_group_name_Hall '-I 4 2'
loop_
_atom_site_label
_atom_site_type_symbol
_atom_site_fract_x
_atom_site_fract_y
_atom_site_fract_z
Tb1 Tb 0.0000 0.5000 0.2500
Pm1 Pm 0.0000 0.0000 0.0000
Ir1 Ir 0.0000 0.0000 0.2555
Pt1 Pt 0.0000 0.0000 0.5000
```

Largest 12 diffraction maxima, low angle first, 10 to 90 degrees two-theta:
2θ (°)  I_rel  (hkl)
16.90  28  0 0 2
22.75  36  1 1 0
28.48  20  1 1 2
32.40  100  2 0 0
34.18  43  0 0 4
36.76  17  2 0 2
46.47  37  2 2 0
47.81  68  2 0 4
58.94  36  2 2 4
77.19  19  4 2 0
78.19  16  4 0 4
87.19  25  4 2 4

=====

No. 6
For PmZn3IrPt, a crystal structure in Alexandria, relaxed with GGA-PBE gives the theoretical X-ray diffraction stick pattern in this record (Cu Kα X-rays).
Lines closer than 0.1° are merged.

Crystal structure
```
data_PmZn3IrPt
_cell_length_a 8.0808
_cell_length_b 11.0456
_cell_length_c 5.4657
_cell_angle_alpha 90.00
_cell_angle_beta 90.00
_cell_angle_gamma 90.00
_space_group_name_H-M_alt 'C m c m'
_space_group_IT_number 63
_space_group_name_Hall '-C 2c 2'
loop_
_atom_site_label
_atom_site_type_symbol
_atom_site_fract_x
_atom_site_fract_y
_atom_site_fract_z
Pm1 Pm 0.0000 0.2055 0.2500
Zn1 Zn 0.0000 0.3219 0.7500
Zn2 Zn 0.2423 0.0000 0.0000
Ir1 Ir 0.0000 0.4534 0.2500
Pt1 Pt 0.0000 0.0913 0.7500
```

Largest 12 diffraction maxima, low angle first, 10 to 90 degrees two-theta:
2θ (°)  I_rel  (hkl)
16.05  38  0 2 0
22.00  87  2 0 0
22.89  16  0 2 1
26.61  17  1 3 0
32.77  32  0 0 2
36.45  63  0 4 1
39.82  100  2 0 2
42.99  79  2 4 1
44.87  40  4 0 0
59.13  31  4 4 1
60.92  14  0 4 3
65.59  23  2 4 3

=====

No. 7
For Pm5PuIr4, a crystal structure in Alexandria, relaxed with GGA-PBE gives the theoretical X-ray diffraction stick pattern in this record (Cu Kα X-rays).
Lines closer than 0.1° are merged.

Crystal structure
```
data_Pm5PuIr4
_cell_length_a 15.2122
_cell_length_b 4.7599
_cell_length_c 6.9991
_cell_angle_alpha 90.00
_cell_angle_beta 91.38
_cell_angle_gamma 90.00
_space_group_name_H-M_alt 'C 1 2/m 1'
_space_group_IT_number 12
_space_group_name_Hall '-C 2y'
loop_
_atom_site_label
_atom_site_type_symbol
_atom_site_fract_x
_atom_site_fract_y
_atom_site_fract_z
Pm1 Pm 0.0000 0.0000 0.0000
Pm2 Pm 0.1661 0.5000 0.0061
Pm3 Pm 0.1667 0.5000 0.5027
Pu1 Pu 0.0000 0.0000 0.5000
Ir1 Ir 0.0065 0.5000 0.2632
Ir2 Ir 0.1637 0.0000 0.7511
```

Largest 12 diffraction maxima, low angle first, 10 to 90 degrees two-theta:
2θ (°)  I_rel  (hkl)
11.64  20  2 0 0
17.01  18  2 0 -1
35.41  52  6 0 0
36.16  100  3 1 -2
36.78  94  3 1 2
37.80  44  0 2 0
52.30  17  0 0 4
52.76  34  6 2 0
63.65  19  9 1 -2
64.89  18  9 1 2
66.32  17  0 2 4
67.19  17  3 3 -2

=====

No. 8
For RbPm2Ir, a crystal structure in Alexandria, relaxed with GGA-PBE gives the theoretical X-ray diffraction stick pattern in this record (Cu Kα X-rays).
Lines closer than 0.1° are merged.

Crystal structure
```
data_RbPm2Ir
_cell_length_a 3.6376
_cell_length_b 3.6376
_cell_length_c 10.9702
_cell_angle_alpha 90.00
_cell_angle_beta 90.00
_cell_angle_gamma 90.00
_space_group_name_H-M_alt 'P 4/m m m'
_space_group_IT_number 123
_space_group_name_Hall '-P 4 2'
loop_
_atom_site_label
_atom_site_type_symbol
_atom_site_fract_x
_atom_site_fract_y
_atom_site_fract_z
Rb1 Rb 0.0000 0.0000 0.0000
Pm1 Pm 0.5000 0.5000 0.3535
Ir1 Ir 0.0000 0.0000 0.5000
```

Largest 12 diffraction maxima, low angle first, 10 to 90 degrees two-theta:
2θ (°)  I_rel  (hkl)
16.16  21  0 0 2
29.46  64  1 0 2
34.84  100  1 1 0
35.86  24  1 1 1
38.66  10  1 1 2
41.22  58  1 0 4
50.16  19  2 0 0
59.25  18  2 1 2
62.30  15  1 1 6
62.49  17  2 1 3
66.87  28  2 1 4
84.15  13  3 1 0

=====

Which formula does entry 6 have? PmZn3IrPt